This entry pairs a crystal structure of Pm2Pr7In2 with its simulated powder diffraction line list. Radiation: Cu Kα X-rays. Structure: a PBE-relaxed structure.

Structure:
Unit cell a=6.7842 b=6.7842 c=8.4342 alpha=98.34 beta=98.34 gamma=96.41
Positions (direct):
Pm: 0.1776 0.8224 0.0000
Pm: 0.8224 0.1776 0.0000
Pr: 0.0000 0.0000 0.5000
Pr: 0.0997 0.5229 0.3250
Pr: 0.3143 0.3143 0.9844
Pr: 0.4771 0.9003 0.6750
Pr: 0.5229 0.0997 0.3250
Pr: 0.6857 0.6857 0.0156
Pr: 0.9003 0.4771 0.6750
In: 0.3921 0.3921 0.6339
In: 0.6079 0.6079 0.3661

Top 10 peaks for 2θ = 10–90°, by angle:
d (Å)  two_theta  intensity
3.193  27.9  22
3.021  29.6  64
2.921  30.6  100
2.824  31.7  88
2.744  32.6  39
2.596  34.6  26
2.529  35.5  19
2.413  37.3  26
1.789  51.0  19
1.667  55.1  22

This entry pairs a crystal structure of K3Cd4Pb2 with its simulated powder diffraction line list. Radiation: Cu Kα X-rays. Structure: a PBE-relaxed structure.

Structure:
Unit cell a=5.1605 b=6.8864 c=10.1895 alpha=105.59 beta=90.50 gamma=111.93
Positions (direct):
K: 0.0000 0.0000 0.0000
K: 0.3932 0.7837 0.6340
K: 0.6068 0.2163 0.3660
Cd: 0.0925 0.1858 0.6289
Cd: 0.2796 0.5565 0.9339
Cd: 0.7204 0.4435 0.0661
Cd: 0.9075 0.8142 0.3711
Pb: 0.2818 0.5683 0.2467
Pb: 0.7182 0.4317 0.7533

Top 10 peaks for 2θ = 10–90°, by angle:
d (Å)  two_theta  intensity
6.107  14.5  88
6.031  14.7  100
4.506  19.7  48
3.195  27.9  61
2.851  31.4  57
2.844  31.5  30
2.580  34.8  57
2.558  35.1  41
2.540  35.3  40
2.208  40.9  31